No. 1
Computed X-ray diffraction stick pattern of Nd3Y8Th3 for Cu Kα (weighted mean of Kα1 and Kα2), from a structure optimized by DFT (PBE).
Kinematic intensities with the Lorentz-polarization factor, no thermal factor.

Peak list (10 most intense, 10 to 90 degrees two-theta, low angle first)
two_theta  Rel. int.
21.14  14
28.80  34
29.40  25
30.52  36
31.37  46
31.74  100
33.34  37
44.33  26
56.07  20
57.10  21

Atomic structure:
```
data_Nd3Y8Th3
_cell_length_a 9.7500
_cell_length_b 9.7500
_cell_length_c 9.7500
_cell_angle_alpha 145.99
_cell_angle_beta 113.07
_cell_angle_gamma 77.25
_symmetry_space_group_name_H-M 'P 1'
_symmetry_Int_Tables_number 1
_symmetry_space_group_name_Hall 'P 1'
loop_
_atom_site_label
_atom_site_fract_x
_atom_site_fract_y
_atom_site_fract_z
Nd1 0.0000 0.0000 0.0000
Nd2 0.3112 0.0000 0.3112
Nd3 0.6888 0.0000 0.6888
Y1 0.0574 0.3964 0.6610
Y2 0.0664 0.2240 0.8424
Y3 0.2646 0.6036 0.6610
Y4 0.3816 0.2240 0.1576
Y5 0.6184 0.7760 0.8424
Y6 0.7354 0.3964 0.3390
Y7 0.9336 0.7760 0.1576
Y8 0.9426 0.6036 0.3390
Th1 0.3148 0.8148 0.5000
Th2 0.5000 0.5000 0.0000
Th3 0.6852 0.1852 0.5000
```



No. 2
Computed X-ray diffraction stick pattern of Nd4Y2Th for Cu Kα (weighted mean of Kα1 and Kα2), from a structure optimized by DFT (PBE).
Kinematic intensities with the Lorentz-polarization factor, no thermal factor.

Peak list (10 most intense, 10 to 90 degrees two-theta, low angle first)
two_theta  Rel. int.
28.30  32
28.41  17
30.20  54
31.78  100
32.48  89
50.03  40
54.19  23
55.55  18
59.52  16
59.57  31

Atomic structure:
```
data_Nd4Y2Th
_cell_length_a 6.3117
_cell_length_b 3.6487
_cell_length_c 20.8261
_cell_angle_alpha 90.00
_cell_angle_beta 95.85
_cell_angle_gamma 90.00
_symmetry_space_group_name_H-M 'P 1'
_symmetry_Int_Tables_number 1
_symmetry_space_group_name_Hall 'P 1'
loop_
_atom_site_label
_atom_site_fract_x
_atom_site_fract_y
_atom_site_fract_z
Nd1 0.0000 0.0000 0.0000
Nd2 0.0171 0.5000 0.5660
Nd3 0.0882 0.0000 0.2816
Nd4 0.1130 0.5000 0.8507
Nd5 0.5000 0.5000 0.0000
Nd6 0.5171 0.0000 0.5660
Nd7 0.5882 0.5000 0.2816
Nd8 0.6130 0.0000 0.8507
Y1 0.2077 0.5000 0.1399
Y2 0.3004 0.5000 0.4233
Y3 0.7077 0.0000 0.1399
Y4 0.8004 0.0000 0.4233
Th1 0.4012 0.5000 0.7091
Th2 0.9012 0.0000 0.7091
```



No. 3
Computed X-ray diffraction stick pattern of Nd2Y4Th for Cu Kα (weighted mean of Kα1 and Kα2), from a structure optimized by DFT (PBE).
Kinematic intensities with the Lorentz-polarization factor, no thermal factor.

Peak list (10 most intense, 10 to 90 degrees two-theta, low angle first)
two_theta  Rel. int.
28.41  54
30.69  51
31.99  100
32.70  96
41.16  19
43.43  18
50.23  38
54.92  21
56.31  21
60.00  29

Atomic structure:
```
data_Nd2Y4Th
_cell_length_a 6.2967
_cell_length_b 3.6295
_cell_length_c 20.5068
_cell_angle_alpha 90.00
_cell_angle_beta 95.98
_cell_angle_gamma 90.00
_symmetry_space_group_name_H-M 'P 1'
_symmetry_Int_Tables_number 1
_symmetry_space_group_name_Hall 'P 1'
loop_
_atom_site_label
_atom_site_fract_x
_atom_site_fract_y
_atom_site_fract_z
Nd1 0.0000 0.0000 0.0000
Nd2 0.0894 0.0000 0.2872
Nd3 0.5000 0.5000 0.0000
Nd4 0.5894 0.5000 0.2872
Y1 0.2793 0.0000 0.8551
Y2 0.3063 0.5000 0.4318
Y3 0.3766 0.0000 0.1444
Y4 0.4001 0.5000 0.7154
Y5 0.7793 0.5000 0.8551
Y6 0.8063 0.0000 0.4318
Y7 0.8766 0.5000 0.1444
Y8 0.9001 0.0000 0.7154
Th1 0.1809 0.0000 0.5736
Th2 0.6809 0.5000 0.5736
```



No. 4
Computed X-ray diffraction stick pattern of Nd3Y7Th2 for Cu Kα (weighted mean of Kα1 and Kα2), from a structure optimized by DFT (PBE).
Kinematic intensities with the Lorentz-polarization factor, no thermal factor.

Peak list (10 most intense, 10 to 90 degrees two-theta, low angle first)
two_theta  Rel. int.
15.19  21
28.64  31
29.25  29
30.65  53
31.60  100
33.25  89
37.36  16
50.35  39
57.23  19
60.08  31

Atomic structure:
```
data_Nd3Y7Th2
_cell_length_a 3.6209
_cell_length_b 6.2844
_cell_length_c 17.6251
_cell_angle_alpha 86.67
_cell_angle_beta 84.11
_cell_angle_gamma 89.98
_symmetry_space_group_name_H-M 'P 1'
_symmetry_Int_Tables_number 1
_symmetry_space_group_name_Hall 'P 1'
loop_
_atom_site_label
_atom_site_fract_x
_atom_site_fract_y
_atom_site_fract_z
Nd1 0.0000 0.0000 0.0000
Nd2 0.3327 0.4465 0.3334
Nd3 0.6673 0.5535 0.6666
Y1 0.0833 0.6984 0.8338
Y2 0.2513 0.7581 0.4980
Y3 0.4168 0.8082 0.1662
Y4 0.5000 0.5000 0.0000
Y5 0.5832 0.1918 0.8338
Y6 0.7487 0.2419 0.5020
Y7 0.9167 0.3016 0.1662
Th1 0.1662 0.0613 0.6683
Th2 0.8338 0.9387 0.3317
```



Please write out number 2 again, unchanged.
Computed X-ray diffraction stick pattern of Nd4Y2Th for Cu Kα (weighted mean of Kα1 and Kα2), from a structure optimized by DFT (PBE).
Kinematic intensities with the Lorentz-polarization factor, no thermal factor.

Peak list (10 most intense, 10 to 90 degrees two-theta, low angle first)
two_theta  Rel. int.
28.30  32
28.41  17
30.20  54
31.78  100
32.48  89
50.03  40
54.19  23
55.55  18
59.52  16
59.57  31

Atomic structure:
```
data_Nd4Y2Th
_cell_length_a 6.3117
_cell_length_b 3.6487
_cell_length_c 20.8261
_cell_angle_alpha 90.00
_cell_angle_beta 95.85
_cell_angle_gamma 90.00
_symmetry_space_group_name_H-M 'P 1'
_symmetry_Int_Tables_number 1
_symmetry_space_group_name_Hall 'P 1'
loop_
_atom_site_label
_atom_site_fract_x
_atom_site_fract_y
_atom_site_fract_z
Nd1 0.0000 0.0000 0.0000
Nd2 0.0171 0.5000 0.5660
Nd3 0.0882 0.0000 0.2816
Nd4 0.1130 0.5000 0.8507
Nd5 0.5000 0.5000 0.0000
Nd6 0.5171 0.0000 0.5660
Nd7 0.5882 0.5000 0.2816
Nd8 0.6130 0.0000 0.8507
Y1 0.2077 0.5000 0.1399
Y2 0.3004 0.5000 0.4233
Y3 0.7077 0.0000 0.1399
Y4 0.8004 0.0000 0.4233
Th1 0.4012 0.5000 0.7091
Th2 0.9012 0.0000 0.7091
```